(1)
The following is a calculated powder diffraction line list of Ho2Hf2Sc3. It was derived from the PBE geometry in Alexandria, using Cu Kα (weighted mean of Kα1 and Kα2).
Intensities are scaled so that the largest is 100.

Top 10 peaks for 10° ≤ 2θ ≤ 80°, most intense first:
hkl, d (Å), 2theta, I/Imax
1 1 -1, 2.685, 33.4, 100.0
-1 1 2, 2.320, 38.8, 65.9
0 2 1, 2.710, 33.1, 50.3
0 1 -3, 2.671, 33.5, 49.2
0 1 -1, 6.282, 14.1, 44.2
0 3 -2, 2.342, 38.4, 36.7
2 -1 0, 1.639, 56.1, 33.4
2 0 -3, 1.396, 67.0, 25.7
1 -4 0, 1.657, 55.4, 22.0
-2 3 1, 1.402, 66.7, 19.2

Structure:
Cell: 3.2762 7.4226 8.0144 Å, 111.22 90.03 102.66°
Space group P-1 (No. 2)
Inequivalent atoms, fractional coordinates:
Ho (0.0810, 0.1588, 0.2206) (multiplicity 2)
Hf (0.2125, 0.4253, 0.6353) (multiplicity 2)
Sc (0.3498, 0.6999, 0.0768) (multiplicity 2)
Sc (0.5000, 0.0000, 0.5000) (multiplicity 1)

(2)
The following is a calculated powder diffraction line list of Y3Ho12Pu. It was derived from the PBE geometry in Alexandria, using Cu Kα (weighted mean of Kα1 and Kα2).
Intensities are scaled so that the largest is 100.

Top 10 peaks for 10° ≤ 2θ ≤ 80°, most intense first:
hkl, d (Å), 2theta, I/Imax
1 1 4, 2.878, 31.1, 100.0
2 0 0, 2.493, 36.0, 50.5
2 2 0, 1.763, 51.9, 35.7
3 1 4, 1.504, 61.7, 28.4
1 1 12, 1.502, 61.8, 13.8
2 2 8, 1.439, 64.8, 12.2
4 0 0, 1.247, 76.4, 3.8
0 0 16, 1.244, 76.6, 1.9
1 0 1, 4.840, 18.3, 1.1
1 0 0, 4.986, 17.8, 0.9

Structure:
Cell: 4.9892 4.9892 19.9119 Å, 90.00 90.00 90.00°
Space group P4/mmm (No. 123)
Inequivalent atoms, fractional coordinates:
Y (0.0000, 0.0000, 0.0000) (multiplicity 1)
Y (0.0000, 0.0000, 0.2522) (multiplicity 2)
Ho (0.0000, 0.5000, 0.1262) (multiplicity 4)
Ho (0.0000, 0.5000, 0.3787) (multiplicity 4)
Ho (0.5000, 0.5000, 0.0000) (multiplicity 1)
Ho (0.5000, 0.5000, 0.2512) (multiplicity 2)
Ho (0.5000, 0.5000, 0.5000) (multiplicity 1)
Pu (0.0000, 0.0000, 0.5000) (multiplicity 1)

(3)
The following is a calculated powder diffraction line list of Ca2MnZn2Pd5. It was derived from the PBE geometry in Alexandria, using Cu Kα (weighted mean of Kα1 and Kα2).
Intensities are scaled so that the largest is 100.

Top 10 peaks for 10° ≤ 2θ ≤ 80°, most intense first:
hkl, d (Å), 2theta, I/Imax
3 1 1, 2.373, 37.9, 100.0
3 2 1, 2.191, 41.2, 47.4
4 1 0, 2.400, 37.5, 38.3
2 1 0, 4.425, 20.1, 28.2
0 0 2, 1.820, 50.1, 21.9
2 2 1, 2.522, 35.6, 17.2
4 1 1, 2.004, 45.3, 17.0
3 3 0, 2.332, 38.6, 15.9
0 0 1, 3.640, 24.5, 15.5
4 0 1, 2.046, 44.3, 15.2

Structure:
Cell: 9.8949 9.8949 3.6403 Å, 90.00 90.00 90.00°
Space group P4/mbm (No. 127)
Inequivalent atoms, fractional coordinates:
Ca (0.1743, 0.3257, 0.0000) (multiplicity 4)
Mn (0.0000, 0.0000, 0.0000) (multiplicity 2)
Zn (0.1258, 0.6258, 0.0000) (multiplicity 4)
Pd (0.0000, 0.5000, 0.5000) (multiplicity 2)
Pd (0.0634, 0.8001, 0.5000) (multiplicity 8)